Structure and computed PXRD pattern of USbO5 (a DFT-relaxed cell (GGA-PBE, Alexandria); Cu Kα (λ = 1.5418 Å)).

Crystal structure
abc: 8.8598 6.5910 7.6095
angles: 90.00 115.28 90.00
Space group C2/c (No. 15)
Unique sites:
U 0.0000 0.0307 0.2500 [4 per cell]
Sb 0.0000 0.5000 0.0000 [4 per cell]
O 0.0000 0.4092 0.2500 [4 per cell]
O 0.0091 0.2003 0.9673 [8 per cell]
O 0.2493 0.0228 0.3715 [8 per cell]

Main lines, in order of rising 2θ (15° ≤ 2θ ≤ 90°):
- 4.005 Å, 2θ = 22.19°, intensity 59, hkl 2 0 0
- 3.295 Å, 2θ = 27.06°, intensity 100, hkl 1 1 -2
- 2.545 Å, 2θ = 35.27°, intensity 67, hkl 3 1 -2
- 1.903 Å, 2θ = 47.80°, intensity 16, hkl 1 3 -2
- 1.719 Å, 2θ = 53.29°, intensity 21, hkl 0 0 4
- 1.712 Å, 2θ = 53.52°, intensity 20, hkl 3 1 2